[1]
PrNd2Cu4Si4: computed powder diffraction line list (a wavelength of 1.5418 Å), based on a cell relaxed with PBE.

Main lines, in order of falling intensity (10 to 90 degrees two-theta):
| 2θ/deg | I (rel.) |
| --- | --- |
| 34.06 | 100 |
| 24.25 | 19 |
| 43.45 | 15 |
| 43.71 | 15 |
| 40.51 | 13 |
| 56.54 | 12 |
| 63.33 | 10 |
| 73.72 | 10 |

Cell and atoms:
Unit cell a=12.242 b=12.242 c=12.242 alpha=160.52 beta=160.41 gamma=27.76
Fractional positions:
Pr: 0.000 0.000 0.000
Nd: 0.151 0.651 0.500
Nd: 0.849 0.349 0.500
Cu: 0.250 0.250 0.000
Cu: 0.403 0.903 0.500
Cu: 0.597 0.097 0.500
Cu: 0.750 0.750 0.000
Si: 0.304 0.804 0.500
Si: 0.449 0.449 0.000
Si: 0.551 0.551 0.000
Si: 0.696 0.196 0.500


[2]
PrNd2Zn2Cu2Si4: computed powder diffraction line list (a wavelength of 1.5418 Å), based on a cell relaxed with PBE.

Main lines, in order of falling intensity (10 to 90 degrees two-theta):
| 2θ/deg | I (rel.) |
| --- | --- |
| 33.87 | 100 |
| 33.51 | 43 |
| 24.08 | 24 |
| 43.52 | 20 |
| 56.12 | 19 |
| 43.66 | 19 |
| 46.34 | 19 |
| 65.45 | 13 |

Cell and atoms:
Unit cell a=12.574 b=12.574 c=12.574 alpha=161.02 beta=160.96 gamma=27.01
Fractional positions:
Pr: 0.000 0.000 0.000
Nd: 0.145 0.645 0.500
Nd: 0.855 0.355 0.500
Zn: 0.250 0.250 0.000
Zn: 0.750 0.750 0.000
Cu: 0.406 0.906 0.500
Cu: 0.594 0.094 0.500
Si: 0.311 0.811 0.500
Si: 0.451 0.451 0.000
Si: 0.549 0.549 0.000
Si: 0.689 0.189 0.500


[3]
PrNd2Zn2Cu2Si4: computed powder diffraction line list (a wavelength of 1.5418 Å), based on a cell relaxed with PBE.

Main lines, in order of falling intensity (10 to 90 degrees two-theta):
| 2θ/deg | I (rel.) |
| --- | --- |
| 33.89 | 100 |
| 43.53 | 43 |
| 33.69 | 43 |
| 24.09 | 28 |
| 39.92 | 21 |
| 56.17 | 19 |
| 63.26 | 14 |
| 46.69 | 13 |

Cell and atoms:
Unit cell a=12.461 b=12.461 c=12.461 alpha=160.81 beta=160.77 gamma=27.29
Fractional positions:
Pr: 0.000 0.000 0.000
Nd: 0.151 0.651 0.500
Nd: 0.849 0.349 0.500
Zn: 0.402 0.902 0.500
Zn: 0.598 0.098 0.500
Cu: 0.250 0.250 0.000
Cu: 0.750 0.750 0.000
Si: 0.302 0.802 0.500
Si: 0.451 0.451 0.000
Si: 0.549 0.549 0.000
Si: 0.698 0.198 0.500


[4]
Nd4Cu3Pt: computed powder diffraction line list (a wavelength of 1.5418 Å), based on a cell relaxed with PBE.

Main lines, in order of falling intensity (10 to 90 degrees two-theta):
| 2θ/deg | I (rel.) |
| --- | --- |
| 31.17 | 100 |
| 35.14 | 66 |
| 39.53 | 66 |
| 39.23 | 58 |
| 34.93 | 55 |
| 27.79 | 52 |
| 39.42 | 51 |
| 33.93 | 46 |

Cell and atoms:
Unit cell a=5.679 b=4.559 c=7.385 alpha=90.00 beta=90.53 gamma=90.00
Fractional positions:
Nd: 0.000 0.000 0.000
Nd: 0.223 0.000 0.507
Nd: 0.499 0.500 0.868
Nd: 0.729 0.500 0.369
Cu: 0.243 0.500 0.219
Cu: 0.486 0.000 0.155
Cu: 0.726 0.000 0.649
Pt: 0.999 0.500 0.724


[5]
NdZnCu2Pt2: computed powder diffraction line list (a wavelength of 1.5418 Å), based on a cell relaxed with PBE.

Main lines, in order of falling intensity (10 to 90 degrees two-theta):
| 2θ/deg | I (rel.) |
| --- | --- |
| 39.03 | 100 |
| 29.58 | 93 |
| 38.21 | 88 |
| 40.94 | 61 |
| 43.84 | 55 |
| 44.27 | 54 |
| 59.53 | 49 |
| 20.06 | 38 |

Cell and atoms:
Unit cell a=5.565 b=8.852 c=4.130 alpha=90.00 beta=90.00 gamma=90.00
Fractional positions:
Nd: 0.000 0.000 0.000
Nd: 0.500 0.500 0.000
Zn: 0.000 0.500 0.500
Zn: 0.500 0.000 0.500
Cu: 0.000 0.341 0.000
Cu: 0.000 0.659 0.000
Cu: 0.500 0.159 0.000
Cu: 0.500 0.841 0.000
Pt: 0.250 0.250 0.500
Pt: 0.250 0.750 0.500
Pt: 0.750 0.250 0.500
Pt: 0.750 0.750 0.500


[6]
NdZn2Cu2Pt: computed powder diffraction line list (a wavelength of 1.5418 Å), based on a cell relaxed with PBE.

Main lines, in order of falling intensity (10 to 90 degrees two-theta):
| 2θ/deg | I (rel.) |
| --- | --- |
| 40.04 | 100 |
| 29.18 | 78 |
| 39.72 | 36 |
| 43.68 | 33 |
| 38.28 | 25 |
| 45.57 | 23 |
| 65.70 | 23 |
| 60.50 | 21 |

Cell and atoms:
Unit cell a=5.182 b=9.405 c=4.144 alpha=90.00 beta=90.00 gamma=90.00
Fractional positions:
Nd: 0.000 0.000 0.000
Nd: 0.500 0.500 0.000
Zn: 0.250 0.250 0.500
Zn: 0.250 0.750 0.500
Zn: 0.750 0.250 0.500
Zn: 0.750 0.750 0.500
Cu: 0.000 0.323 0.000
Cu: 0.000 0.677 0.000
Cu: 0.500 0.177 0.000
Cu: 0.500 0.823 0.000
Pt: 0.000 0.500 0.500
Pt: 0.500 0.000 0.500


[7]
NdPu2Cu9: computed powder diffraction line list (a wavelength of 1.5418 Å), based on a cell relaxed with PBE.

Main lines, in order of falling intensity (10 to 90 degrees two-theta):
| 2θ/deg | I (rel.) |
| --- | --- |
| 42.19 | 100 |
| 36.22 | 34 |
| 32.21 | 29 |
| 10.40 | 22 |
| 20.92 | 18 |
| 69.24 | 18 |
| 42.52 | 18 |
| 64.31 | 12 |

Cell and atoms:
Unit cell a=8.974 b=8.974 c=8.974 alpha=32.09 beta=32.09 gamma=32.09
Fractional positions:
Nd: 0.000 0.000 0.000
Pu: 0.156 0.156 0.156
Pu: 0.844 0.844 0.844
Cu: 0.085 0.580 0.580
Cu: 0.331 0.331 0.331
Cu: 0.420 0.420 0.915
Cu: 0.420 0.915 0.420
Cu: 0.500 0.500 0.500
Cu: 0.580 0.085 0.580
Cu: 0.580 0.580 0.085
Cu: 0.669 0.669 0.669
Cu: 0.915 0.420 0.420


[8]
RbNd2Cu3S5: computed powder diffraction line list (a wavelength of 1.5418 Å), based on a cell relaxed with PBE.

Main lines, in order of falling intensity (10 to 90 degrees two-theta):
| 2θ/deg | I (rel.) |
| --- | --- |
| 27.85 | 100 |
| 31.45 | 60 |
| 39.08 | 60 |
| 36.15 | 54 |
| 31.08 | 50 |
| 25.89 | 49 |
| 47.72 | 44 |
| 44.95 | 42 |

Cell and atoms:
Unit cell a=7.312 b=7.312 c=17.064 alpha=90.00 beta=90.00 gamma=147.98
Fractional positions:
Rb: 0.067 0.933 0.750
Rb: 0.933 0.067 0.250
Nd: 0.191 0.809 0.093
Nd: 0.191 0.809 0.407
Nd: 0.809 0.191 0.593
Nd: 0.809 0.191 0.907
Cu: 0.344 0.656 0.750
Cu: 0.417 0.583 0.040
Cu: 0.417 0.583 0.460
Cu: 0.583 0.417 0.540
Cu: 0.583 0.417 0.960
Cu: 0.656 0.344 0.250
S: 0.162 0.838 0.570
S: 0.162 0.838 0.930
S: 0.236 0.764 0.250
S: 0.443 0.557 0.615
S: 0.443 0.557 0.885
S: 0.557 0.443 0.115
S: 0.557 0.443 0.385
S: 0.764 0.236 0.750
S: 0.838 0.162 0.070
S: 0.838 0.162 0.430


[9]
RbNd2Cu3SeS4: computed powder diffraction line list (a wavelength of 1.5418 Å), based on a cell relaxed with PBE.

Main lines, in order of falling intensity (10 to 90 degrees two-theta):
| 2θ/deg | I (rel.) |
| --- | --- |
| 30.95 | 100 |
| 27.54 | 94 |
| 47.12 | 83 |
| 29.49 | 82 |
| 30.84 | 77 |
| 35.79 | 70 |
| 44.50 | 66 |
| 25.81 | 63 |

Cell and atoms:
Unit cell a=7.333 b=7.333 c=17.334 alpha=90.00 beta=90.00 gamma=147.76
Fractional positions:
Rb: 0.061 0.939 0.750
Rb: 0.939 0.061 0.250
Nd: 0.189 0.811 0.090
Nd: 0.189 0.811 0.410
Nd: 0.811 0.189 0.590
Nd: 0.811 0.189 0.910
Cu: 0.347 0.653 0.750
Cu: 0.416 0.584 0.038
Cu: 0.416 0.584 0.462
Cu: 0.584 0.416 0.538
Cu: 0.584 0.416 0.962
Cu: 0.653 0.347 0.250
Se: 0.243 0.757 0.250
Se: 0.757 0.243 0.750
S: 0.163 0.837 0.569
S: 0.163 0.837 0.931
S: 0.443 0.557 0.612
S: 0.443 0.557 0.888
S: 0.557 0.443 0.112
S: 0.557 0.443 0.388
S: 0.837 0.163 0.069
S: 0.837 0.163 0.431


[10]
RbNd2Cu3Se5: computed powder diffraction line list (a wavelength of 1.5418 Å), based on a cell relaxed with PBE.

Main lines, in order of falling intensity (10 to 90 degrees two-theta):
| 2θ/deg | I (rel.) |
| --- | --- |
| 28.08 | 100 |
| 28.53 | 96 |
| 34.81 | 84 |
| 30.46 | 83 |
| 29.88 | 79 |
| 43.15 | 75 |
| 46.01 | 71 |
| 37.48 | 46 |

Cell and atoms:
Unit cell a=7.608 b=7.608 c=17.610 alpha=90.00 beta=90.00 gamma=148.01
Fractional positions:
Rb: 0.062 0.938 0.750
Rb: 0.938 0.062 0.250
Nd: 0.192 0.808 0.092
Nd: 0.192 0.808 0.408
Nd: 0.808 0.192 0.592
Nd: 0.808 0.192 0.908
Cu: 0.338 0.662 0.750
Cu: 0.415 0.585 0.027
Cu: 0.415 0.585 0.473
Cu: 0.585 0.415 0.527
Cu: 0.585 0.415 0.973
Cu: 0.662 0.338 0.250
Se: 0.161 0.839 0.572
Se: 0.161 0.839 0.928
Se: 0.244 0.756 0.250
Se: 0.445 0.555 0.616
Se: 0.445 0.555 0.884
Se: 0.555 0.445 0.116
Se: 0.555 0.445 0.384
Se: 0.756 0.244 0.750
Se: 0.839 0.161 0.072
Se: 0.839 0.161 0.428


[11]
Rb2Nd4Cu4Se9: computed powder diffraction line list (a wavelength of 1.5418 Å), based on a cell relaxed with PBE.

Main lines, in order of falling intensity (10 to 90 degrees two-theta):
| 2θ/deg | I (rel.) |
| --- | --- |
| 28.42 | 100 |
| 43.02 | 99 |
| 30.43 | 89 |
| 12.76 | 83 |
| 28.00 | 81 |
| 37.42 | 72 |
| 28.69 | 67 |
| 29.91 | 61 |

Cell and atoms:
Unit cell a=7.630 b=7.630 c=16.957 alpha=108.15 beta=108.15 gamma=31.99
Fractional positions:
Rb: 0.029 0.029 0.270
Rb: 0.971 0.971 0.730
Nd: 0.231 0.231 0.102
Nd: 0.345 0.345 0.445
Nd: 0.655 0.655 0.555
Nd: 0.769 0.769 0.898
Cu: 0.242 0.242 0.728
Cu: 0.425 0.425 0.028
Cu: 0.575 0.575 0.972
Cu: 0.758 0.758 0.272
Se: 0.000 0.000 0.500
Se: 0.133 0.133 0.923
Se: 0.302 0.302 0.606
Se: 0.348 0.348 0.276
Se: 0.396 0.396 0.873
Se: 0.604 0.604 0.127
Se: 0.652 0.652 0.724
Se: 0.698 0.698 0.394
Se: 0.867 0.867 0.077


[12]
Nd3CuSnS7: computed powder diffraction line list (a wavelength of 1.5418 Å), based on a cell relaxed with PBE.

Main lines, in order of falling intensity (10 to 90 degrees two-theta):
| 2θ/deg | I (rel.) |
| --- | --- |
| 24.98 | 100 |
| 35.35 | 53 |
| 40.19 | 26 |
| 46.60 | 26 |
| 29.37 | 25 |
| 35.90 | 23 |
| 36.84 | 20 |
| 39.81 | 17 |

Cell and atoms:
Unit cell a=10.157 b=10.157 c=6.082 alpha=90.00 beta=90.00 gamma=120.00
Fractional positions:
Nd: 0.136 0.357 0.000
Nd: 0.221 0.864 0.000
Nd: 0.357 0.221 0.500
Nd: 0.643 0.779 0.000
Nd: 0.779 0.136 0.500
Nd: 0.864 0.643 0.500
Cu: 0.000 0.000 0.052
Cu: 0.000 0.000 0.552
Sn: 0.333 0.667 0.427
Sn: 0.667 0.333 0.927
S: 0.088 0.573 0.254
S: 0.100 0.255 0.538
S: 0.155 0.900 0.538
S: 0.255 0.155 0.038
S: 0.333 0.667 0.818
S: 0.427 0.515 0.254
S: 0.485 0.912 0.254
S: 0.515 0.088 0.754
S: 0.573 0.485 0.754
S: 0.667 0.333 0.318
S: 0.745 0.845 0.538
S: 0.845 0.100 0.038
S: 0.900 0.745 0.038
S: 0.912 0.427 0.754